# 1
Theoretical X-ray powder pattern of CuH10SO9 for λ = 1.5418 Å (Cu Kα), from a PBE-relaxed structure.
Kinematic intensities with the Lorentz-polarization factor, no thermal factor.

Most intense lines, 5 to 70 degrees two-theta, by angle:
2θ 15.53, I 41; 2θ 16.25, I 51; 2θ 18.80, I 26; 2θ 18.94, I 100; 2θ 21.63, I 86; 2θ 23.48, I 80; 2θ 26.57, I 42; 2θ 31.49, I 42; 2θ 31.98, I 35; 2θ 50.15, I 26

Structural model:
```
data_CuH10SO9
_space_group_name_H-M_alt 'P 1'
_space_group_IT_number 1
_cell_length_a 5.975
_cell_length_b 6.034
_cell_length_c 11.139
_cell_angle_alpha 78.23
_cell_angle_beta 82.35
_cell_angle_gamma 73.74
loop_
_space_group_symop_operation_xyz
'x,y,z'
loop_
_atom_site_label
_atom_site_type_symbol
_atom_site_fract_x
_atom_site_fract_y
_atom_site_fract_z
Cu1 Cu 0.000 0.000 0.000
Cu2 Cu 0.000 0.500 0.500
H1 H 0.047 0.223 0.701
H2 H 0.132 0.299 0.094
H3 H 0.150 0.652 0.878
H4 H 0.244 0.615 0.638
H5 H 0.248 0.779 0.504
H6 H 0.308 0.184 0.628
H7 H 0.323 0.199 0.871
H8 H 0.330 0.869 0.310
H9 H 0.361 0.077 0.369
H10 H 0.418 0.911 0.885
H11 H 0.582 0.089 0.115
H12 H 0.639 0.923 0.631
H13 H 0.670 0.131 0.690
H14 H 0.677 0.801 0.129
H15 H 0.692 0.816 0.372
H16 H 0.752 0.221 0.496
H17 H 0.756 0.385 0.362
H18 H 0.850 0.348 0.122
H19 H 0.868 0.701 0.906
H20 H 0.953 0.777 0.299
S1 S 0.394 0.485 0.220
S2 S 0.606 0.515 0.780
O1 O 0.012 0.730 0.930
O2 O 0.135 0.219 0.620
O3 O 0.150 0.695 0.568
O4 O 0.229 0.722 0.197
O5 O 0.280 0.048 0.893
O6 O 0.347 0.365 0.347
O7 O 0.359 0.486 0.794
O8 O 0.377 0.340 0.129
O9 O 0.397 0.902 0.379
O10 O 0.603 0.098 0.621
O11 O 0.623 0.660 0.871
O12 O 0.641 0.514 0.206
O13 O 0.653 0.635 0.653
O14 O 0.720 0.952 0.107
O15 O 0.771 0.278 0.803
O16 O 0.850 0.305 0.432
O17 O 0.865 0.781 0.380
O18 O 0.988 0.270 0.070
```

***

# 2
Theoretical X-ray powder pattern of CuH10SO9 for λ = 1.5418 Å (Cu Kα), from a PBE-relaxed structure.
Kinematic intensities with the Lorentz-polarization factor, no thermal factor.

Most intense lines, 5 to 70 degrees two-theta, by angle:
2θ 14.72, I 41; 2θ 15.08, I 53; 2θ 17.39, I 100; 2θ 18.54, I 50; 2θ 21.43, I 97; 2θ 22.88, I 40; 2θ 29.28, I 28; 2θ 29.59, I 36; 2θ 32.17, I 19; 2θ 33.12, I 21

Structural model:
```
data_CuH10SO9
_space_group_name_H-M_alt 'P 1'
_space_group_IT_number 1
_cell_length_a 6.471
_cell_length_b 6.628
_cell_length_c 11.063
_cell_angle_alpha 76.72
_cell_angle_beta 88.67
_cell_angle_gamma 69.01
loop_
_space_group_symop_operation_xyz
'x,y,z'
loop_
_atom_site_label
_atom_site_type_symbol
_atom_site_fract_x
_atom_site_fract_y
_atom_site_fract_z
Cu1 Cu 0.000 0.000 0.000
Cu2 Cu 0.000 0.500 0.500
H1 H 0.028 0.253 0.802
H2 H 0.102 0.773 0.606
H3 H 0.160 0.170 0.395
H4 H 0.171 0.284 0.014
H5 H 0.201 0.136 0.151
H6 H 0.225 0.700 0.217
H7 H 0.289 0.490 0.909
H8 H 0.385 0.380 0.927
H9 H 0.450 0.424 0.348
H10 H 0.470 0.634 0.377
H11 H 0.530 0.366 0.623
H12 H 0.550 0.576 0.652
H13 H 0.615 0.620 0.073
H14 H 0.711 0.510 0.091
H15 H 0.775 0.300 0.783
H16 H 0.799 0.864 0.849
H17 H 0.829 0.716 0.986
H18 H 0.840 0.830 0.605
H19 H 0.898 0.227 0.394
H20 H 0.972 0.747 0.198
S1 S 0.413 0.942 0.743
S2 S 0.587 0.058 0.257
O1 O 0.024 0.238 0.436
O2 O 0.100 0.199 0.073
O3 O 0.101 0.745 0.149
O4 O 0.264 0.211 0.711
O5 O 0.292 0.327 0.585
O6 O 0.333 0.840 0.660
O7 O 0.356 0.075 0.279
O8 O 0.358 0.580 0.348
O9 O 0.370 0.886 0.873
O10 O 0.630 0.114 0.127
O11 O 0.642 0.420 0.652
O12 O 0.644 0.925 0.721
O13 O 0.667 0.160 0.340
O14 O 0.708 0.673 0.415
O15 O 0.736 0.789 0.289
O16 O 0.899 0.255 0.851
O17 O 0.900 0.801 0.927
O18 O 0.976 0.762 0.564
```

***

# 3
Theoretical X-ray powder pattern of CuH6SO7 for λ = 1.5418 Å (Cu Kα), from a PBE-relaxed structure.
Kinematic intensities with the Lorentz-polarization factor, no thermal factor.

Most intense lines, 5 to 70 degrees two-theta, by angle:
2θ 17.31, I 61; 2θ 17.87, I 35; 2θ 20.21, I 100; 2θ 24.27, I 64; 2θ 25.53, I 52; 2θ 26.44, I 72; 2θ 29.02, I 35; 2θ 31.28, I 44; 2θ 36.06, I 49; 2θ 38.60, I 29

Structural model:
```
data_CuH6SO7
_space_group_name_H-M_alt 'P 1'
_space_group_IT_number 1
_cell_length_a 7.293
_cell_length_b 7.293
_cell_length_c 7.372
_cell_angle_alpha 92.18
_cell_angle_beta 92.18
_cell_angle_gamma 135.14
loop_
_space_group_symop_operation_xyz
'x,y,z'
loop_
_atom_site_label
_atom_site_type_symbol
_atom_site_fract_x
_atom_site_fract_y
_atom_site_fract_z
Cu1 Cu 0.134 0.866 0.500
Cu2 Cu 0.866 0.134 0.000
H1 H 0.029 0.821 0.147
H2 H 0.115 0.491 0.775
H3 H 0.282 0.603 0.971
H4 H 0.491 0.115 0.275
H5 H 0.560 0.723 0.204
H6 H 0.574 0.968 0.711
H7 H 0.592 0.647 0.008
H8 H 0.603 0.282 0.471
H9 H 0.647 0.592 0.508
H10 H 0.723 0.560 0.704
H11 H 0.821 0.029 0.647
H12 H 0.968 0.574 0.211
S1 S 0.148 0.377 0.418
S2 S 0.377 0.148 0.918
O1 O 0.031 0.127 0.486
O2 O 0.101 0.482 0.910
O3 O 0.127 0.031 0.986
O4 O 0.133 0.522 0.552
O5 O 0.329 0.996 0.745
O6 O 0.423 0.537 0.379
O7 O 0.482 0.101 0.410
O8 O 0.522 0.133 0.052
O9 O 0.537 0.423 0.879
O10 O 0.592 0.771 0.075
O11 O 0.702 0.963 0.747
O12 O 0.771 0.592 0.575
O13 O 0.963 0.702 0.247
O14 O 0.996 0.329 0.245
```

***

# 4
Theoretical X-ray powder pattern of CuH2Se2O6 for λ = 1.5418 Å (Cu Kα), from a PBE-relaxed structure.
Kinematic intensities with the Lorentz-polarization factor, no thermal factor.

Most intense lines, 5 to 70 degrees two-theta, by angle:
2θ 18.13, I 87; 2θ 20.06, I 100; 2θ 23.21, I 67; 2θ 23.45, I 79; 2θ 27.80, I 78; 2θ 29.35, I 43; 2θ 31.82, I 46; 2θ 33.55, I 49; 2θ 39.58, I 80; 2θ 49.84, I 38

Structural model:
```
data_CuH2Se2O6
_space_group_name_H-M_alt 'P 1'
_space_group_IT_number 1
_cell_length_a 6.086
_cell_length_b 7.364
_cell_length_c 8.878
_cell_angle_alpha 90.00
_cell_angle_beta 132.50
_cell_angle_gamma 90.00
loop_
_space_group_symop_operation_xyz
'x,y,z'
loop_
_atom_site_label
_atom_site_type_symbol
_atom_site_fract_x
_atom_site_fract_y
_atom_site_fract_z
Cu1 Cu 0.000 0.000 0.000
Cu2 Cu 0.000 0.500 0.500
H1 H 0.077 0.100 0.664
H2 H 0.077 0.400 0.164
H3 H 0.923 0.600 0.836
H4 H 0.923 0.900 0.336
Se1 Se 0.368 0.665 0.285
Se2 Se 0.368 0.835 0.785
Se3 Se 0.632 0.165 0.215
Se4 Se 0.632 0.335 0.715
O1 O 0.080 0.736 0.035
O2 O 0.080 0.764 0.535
O3 O 0.176 0.020 0.789
O4 O 0.176 0.480 0.289
O5 O 0.419 0.049 0.245
O6 O 0.419 0.451 0.745
O7 O 0.581 0.549 0.255
O8 O 0.581 0.951 0.755
O9 O 0.824 0.520 0.711
O10 O 0.824 0.980 0.211
O11 O 0.920 0.236 0.465
O12 O 0.920 0.264 0.965
```

***

# 5
Theoretical X-ray powder pattern of CuH10SeO9 for λ = 1.5418 Å (Cu Kα), from a PBE-relaxed structure.
Kinematic intensities with the Lorentz-polarization factor, no thermal factor.

Most intense lines, 5 to 70 degrees two-theta, by angle:
2θ 15.26, I 51; 2θ 16.58, I 18; 2θ 18.48, I 100; 2θ 21.28, I 62; 2θ 23.24, I 70; 2θ 24.32, I 37; 2θ 26.12, I 34; 2θ 28.47, I 19; 2θ 31.26, I 54; 2θ 32.99, I 23

Structural model:
```
data_CuH10SeO9
_space_group_name_H-M_alt 'P 1'
_space_group_IT_number 1
_cell_length_a 6.114
_cell_length_b 6.163
_cell_length_c 11.234
_cell_angle_alpha 77.56
_cell_angle_beta 81.82
_cell_angle_gamma 73.49
loop_
_space_group_symop_operation_xyz
'x,y,z'
loop_
_atom_site_label
_atom_site_type_symbol
_atom_site_fract_x
_atom_site_fract_y
_atom_site_fract_z
Cu1 Cu 0.000 0.000 0.000
Cu2 Cu 0.000 0.500 0.500
H1 H 0.054 0.213 0.700
H2 H 0.135 0.291 0.087
H3 H 0.140 0.654 0.882
H4 H 0.233 0.614 0.638
H5 H 0.248 0.771 0.503
H6 H 0.307 0.188 0.627
H7 H 0.308 0.199 0.868
H8 H 0.327 0.878 0.310
H9 H 0.359 0.070 0.375
H10 H 0.412 0.917 0.886
H11 H 0.588 0.083 0.114
H12 H 0.641 0.930 0.625
H13 H 0.673 0.122 0.690
H14 H 0.692 0.801 0.132
H15 H 0.693 0.812 0.373
H16 H 0.752 0.229 0.497
H17 H 0.767 0.386 0.362
H18 H 0.860 0.346 0.118
H19 H 0.865 0.709 0.913
H20 H 0.946 0.787 0.300
Se1 Se 0.395 0.485 0.218
Se2 Se 0.605 0.515 0.782
O1 O 0.009 0.730 0.936
O2 O 0.139 0.219 0.619
O3 O 0.148 0.692 0.566
O4 O 0.219 0.750 0.192
O5 O 0.270 0.049 0.888
O6 O 0.333 0.489 0.795
O7 O 0.336 0.355 0.361
O8 O 0.380 0.324 0.118
O9 O 0.396 0.899 0.379
O10 O 0.604 0.101 0.621
O11 O 0.620 0.676 0.882
O12 O 0.664 0.645 0.639
O13 O 0.667 0.511 0.205
O14 O 0.730 0.951 0.112
O15 O 0.781 0.250 0.808
O16 O 0.852 0.308 0.434
O17 O 0.861 0.781 0.381
O18 O 0.991 0.270 0.064
```

***

# 6
Theoretical X-ray powder pattern of Cu2H2Se2O7 for λ = 1.5418 Å (Cu Kα), from a PBE-relaxed structure.
Kinematic intensities with the Lorentz-polarization factor, no thermal factor.

Most intense lines, 5 to 70 degrees two-theta, by angle:
2θ 16.08, I 100; 2θ 20.15, I 67; 2θ 22.16, I 98; 2θ 26.20, I 75; 2θ 27.80, I 52; 2θ 28.73, I 47; 2θ 29.55, I 84; 2θ 33.19, I 60; 2θ 33.67, I 55; 2θ 34.23, I 39

Structural model:
```
data_Cu2H2Se2O7
_space_group_name_H-M_alt 'P 1'
_space_group_IT_number 1
_cell_length_a 8.544
_cell_length_b 7.588
_cell_length_c 10.657
_cell_angle_alpha 90.00
_cell_angle_beta 110.13
_cell_angle_gamma 90.00
loop_
_space_group_symop_operation_xyz
'x,y,z'
loop_
_atom_site_label
_atom_site_type_symbol
_atom_site_fract_x
_atom_site_fract_y
_atom_site_fract_z
Cu1 Cu 0.072 0.204 0.020
Cu2 Cu 0.072 0.296 0.520
Cu3 Cu 0.345 0.207 0.390
Cu4 Cu 0.345 0.293 0.890
Cu5 Cu 0.655 0.707 0.110
Cu6 Cu 0.655 0.793 0.610
Cu7 Cu 0.928 0.704 0.480
Cu8 Cu 0.928 0.796 0.980
H1 H 0.165 0.580 0.103
H2 H 0.165 0.920 0.603
H3 H 0.272 0.747 0.577
H4 H 0.272 0.753 0.077
H5 H 0.728 0.247 0.923
H6 H 0.728 0.253 0.423
H7 H 0.835 0.080 0.397
H8 H 0.835 0.420 0.897
Se1 Se 0.059 0.595 0.786
Se2 Se 0.059 0.905 0.286
Se3 Se 0.481 0.061 0.164
Se4 Se 0.481 0.439 0.664
Se5 Se 0.519 0.561 0.336
Se6 Se 0.519 0.939 0.836
Se7 Se 0.941 0.095 0.714
Se8 Se 0.941 0.405 0.214
O1 O 0.027 0.019 0.879
O2 O 0.027 0.481 0.379
O3 O 0.120 0.117 0.669
O4 O 0.120 0.383 0.169
O5 O 0.127 0.108 0.365
O6 O 0.127 0.392 0.865
O7 O 0.162 0.692 0.053
O8 O 0.162 0.808 0.553
O9 O 0.318 0.180 0.048
O10 O 0.318 0.320 0.548
O11 O 0.395 0.020 0.285
O12 O 0.395 0.480 0.785
O13 O 0.455 0.650 0.594
O14 O 0.455 0.850 0.094
O15 O 0.545 0.150 0.906
O16 O 0.545 0.350 0.406
O17 O 0.605 0.520 0.215
O18 O 0.605 0.980 0.715
O19 O 0.682 0.680 0.452
O20 O 0.682 0.820 0.952
O21 O 0.838 0.192 0.447
O22 O 0.838 0.308 0.947
O23 O 0.873 0.608 0.135
O24 O 0.873 0.892 0.635
O25 O 0.880 0.617 0.831
O26 O 0.880 0.883 0.331
O27 O 0.973 0.519 0.621
O28 O 0.973 0.981 0.121
```

***

# 7
Theoretical X-ray powder pattern of Sr2CuH2Se4O12 for λ = 1.5418 Å (Cu Kα), from a PBE-relaxed structure.
Kinematic intensities with the Lorentz-polarization factor, no thermal factor.

Most intense lines, 5 to 70 degrees two-theta, by angle:
2θ 13.58, I 77; 2θ 25.46, I 93; 2θ 26.03, I 82; 2θ 27.00, I 68; 2θ 27.35, I 45; 2θ 27.95, I 73; 2θ 29.99, I 48; 2θ 30.37, I 70; 2θ 30.57, I 100; 2θ 34.23, I 75

Structural model:
```
data_Sr2CuH2Se4O12
_space_group_name_H-M_alt 'P 1'
_space_group_IT_number 1
_cell_length_a 5.368
_cell_length_b 7.123
_cell_length_c 9.209
_cell_angle_alpha 112.32
_cell_angle_beta 96.13
_cell_angle_gamma 100.69
loop_
_space_group_symop_operation_xyz
'x,y,z'
loop_
_atom_site_label
_atom_site_type_symbol
_atom_site_fract_x
_atom_site_fract_y
_atom_site_fract_z
Sr1 Sr 0.170 0.249 0.441
Sr2 Sr 0.830 0.751 0.559
Cu1 Cu 0.000 0.000 0.000
H1 H 0.365 0.162 0.757
H2 H 0.635 0.838 0.243
Se1 Se 0.200 0.676 0.224
Se2 Se 0.396 0.782 0.815
Se3 Se 0.604 0.218 0.185
Se4 Se 0.800 0.324 0.776
O1 O 0.128 0.449 0.246
O2 O 0.129 0.856 0.388
O3 O 0.204 0.963 0.827
O4 O 0.303 0.047 0.160
O5 O 0.342 0.651 0.612
O6 O 0.442 0.270 0.719
O7 O 0.558 0.730 0.281
O8 O 0.658 0.349 0.388
O9 O 0.697 0.953 0.840
O10 O 0.796 0.037 0.173
O11 O 0.871 0.144 0.612
O12 O 0.872 0.551 0.754
```

***

# 8
Theoretical X-ray powder pattern of TlCu2HSe2O10 for λ = 1.5418 Å (Cu Kα), from a PBE-relaxed structure.
Kinematic intensities with the Lorentz-polarization factor, no thermal factor.

Most intense lines, 5 to 70 degrees two-theta, by angle:
2θ 18.55, I 77; 2θ 20.08, I 37; 2θ 24.37, I 100; 2θ 27.86, I 42; 2θ 30.79, I 66; 2θ 31.16, I 50; 2θ 33.60, I 39; 2θ 34.58, I 27; 2θ 36.40, I 42; 2θ 52.87, I 29

Structural model:
```
data_TlCu2HSe2O10
_space_group_name_H-M_alt 'P 1'
_space_group_IT_number 1
_cell_length_a 5.419
_cell_length_b 5.419
_cell_length_c 9.115
_cell_angle_alpha 108.97
_cell_angle_beta 108.97
_cell_angle_gamma 69.78
loop_
_space_group_symop_operation_xyz
'x,y,z'
loop_
_atom_site_label
_atom_site_type_symbol
_atom_site_fract_x
_atom_site_fract_y
_atom_site_fract_z
Tl1 Tl 0.000 0.000 0.000
Cu1 Cu 0.000 0.500 0.500
Cu2 Cu 0.500 0.000 0.500
H1 H 0.000 0.000 0.500
Se1 Se 0.455 0.455 0.250
Se2 Se 0.545 0.545 0.750
O1 O 0.150 0.150 0.540
O2 O 0.197 0.650 0.706
O3 O 0.343 0.343 0.359
O4 O 0.347 0.347 0.057
O5 O 0.350 0.803 0.294
O6 O 0.650 0.197 0.706
O7 O 0.653 0.653 0.943
O8 O 0.657 0.657 0.641
O9 O 0.803 0.350 0.294
O10 O 0.850 0.850 0.460
```

***

# 9
Theoretical X-ray powder pattern of TbCuH2O4 for λ = 1.5418 Å (Cu Kα), from a PBE-relaxed structure.
Kinematic intensities with the Lorentz-polarization factor, no thermal factor.

Most intense lines, 5 to 70 degrees two-theta, by angle:
2θ 24.02, I 21; 2θ 25.12, I 100; 2θ 29.69, I 20; 2θ 33.19, I 30; 2θ 39.27, I 76; 2θ 45.12, I 22; 2θ 49.19, I 25; 2θ 60.63, I 20; 2θ 61.64, I 16; 2θ 63.39, I 18

Structural model:
```
data_TbCuH2O4
_space_group_name_H-M_alt 'P 1'
_space_group_IT_number 1
_cell_length_a 4.676
_cell_length_b 4.676
_cell_length_c 4.676
_cell_angle_alpha 119.64
_cell_angle_beta 109.48
_cell_angle_gamma 99.90
loop_
_space_group_symop_operation_xyz
'x,y,z'
loop_
_atom_site_label
_atom_site_type_symbol
_atom_site_fract_x
_atom_site_fract_y
_atom_site_fract_z
Tb1 Tb 0.000 0.000 0.000
Cu1 Cu 0.500 0.500 0.000
H1 H 0.306 0.806 0.500
H2 H 0.694 0.194 0.500
O1 O 0.186 0.022 0.606
O2 O 0.416 0.580 0.394
O3 O 0.584 0.978 0.164
O4 O 0.814 0.420 0.836
```